(1)
Diffraction record for Th5Co2Pt2. The PXRD pattern is calculated, not measured: it uses a cell relaxed with GGA-PBE and Cu Kα (λ = 1.5418 Å).
Intensities are scaled so that the largest is 1000.

Structural model:
```
data_Th5Co2Pt2
_chemical_formula_sum 'Th20 Co8 Pt8'
_cell_length_a 15.1937
_cell_length_b 7.3625
_cell_length_c 7.7252
_cell_angle_alpha 90.00
_cell_angle_beta 90.00
_cell_angle_gamma 90.00
_space_group_name_H-M_alt 'C m c e'
_space_group_IT_number 64
_space_group_name_Hall '-C 2ac 2'
loop_
_atom_site_label
_atom_site_fract_x
_atom_site_fract_y
_atom_site_fract_z
Th1 0.0000 0.0000 0.0000
Th2 0.1307 0.1638 0.3303
Co1 0.0000 0.1486 0.6215
Pt1 0.2094 0.0000 0.0000
```

The 12 most intense peaks (2θ from 10° to 90°), by angle:
| 2θ (°) | I/Imax | h k l |
| --- | --- | --- |
| 26.7 | 278 | 1 1 2 |
| 26.8 | 456 | 0 2 1 |
| 31.6 | 582 | 3 1 2 |
| 33.1 | 569 | 4 0 2 |
| 33.6 | 461 | 0 2 2 |
| 33.9 | 1000 | 4 2 0 |
| 35.9 | 664 | 4 2 1 |
| 37.5 | 470 | 1 1 3 |
| 39.0 | 443 | 1 3 1 |
| 47.9 | 206 | 8 0 0 |
| 49.1 | 195 | 1 1 4 |
| 60.4 | 273 | 5 3 3 |

***

(2)
Diffraction record for Th3CoPt. The PXRD pattern is calculated, not measured: it uses a cell relaxed with GGA-PBE and Cu Kα (λ = 1.5418 Å).
Intensities are scaled so that the largest is 1000.

Structural model:
```
data_Th3CoPt
_chemical_formula_sum 'Th6 Co2 Pt2'
_cell_length_a 8.2245
_cell_length_b 3.8887
_cell_length_c 8.5218
_cell_angle_alpha 90.00
_cell_angle_beta 102.69
_cell_angle_gamma 90.00
_space_group_name_H-M_alt 'P 1 21/m 1'
_space_group_IT_number 11
_space_group_name_Hall '-P 2yb'
loop_
_atom_site_label
_atom_site_fract_x
_atom_site_fract_y
_atom_site_fract_z
Th1 0.0651 0.2500 0.3115
Th2 0.3106 0.2500 0.9832
Th3 0.3775 0.7500 0.6374
Co1 0.1565 0.2500 0.6585
Pt1 0.3359 0.7500 0.2632
```

The 12 most intense peaks (2θ from 10° to 90°), by angle:
| 2θ (°) | I/Imax | h k l |
| --- | --- | --- |
| 27.3 | 161 | 2 0 -2 |
| 28.6 | 308 | 1 1 1 |
| 31.5 | 165 | 0 1 2 |
| 31.8 | 192 | 1 0 -3 |
| 32.1 | 298 | 2 1 0 |
| 32.3 | 1000 | 0 0 3 |
| 33.5 | 197 | 3 0 0 |
| 35.1 | 161 | 1 1 2 |
| 35.9 | 148 | 2 1 -2 |
| 41.6 | 260 | 2 1 2 |
| 46.7 | 216 | 0 2 0 |
| 57.9 | 144 | 0 2 3 |

***

(3)
Diffraction record for Ti7Co2Pt2. The PXRD pattern is calculated, not measured: it uses a cell relaxed with GGA-PBE and Cu Kα (λ = 1.5418 Å).
Intensities are scaled so that the largest is 1000.

Structural model:
```
data_Ti7Co2Pt2
_chemical_formula_sum 'Ti14 Co4 Pt4'
_cell_length_a 6.9609
_cell_length_b 9.1570
_cell_length_c 5.8960
_cell_angle_alpha 90.00
_cell_angle_beta 90.00
_cell_angle_gamma 90.00
_space_group_name_H-M_alt 'C m m m'
_space_group_IT_number 65
_space_group_name_Hall '-C 2 2'
loop_
_atom_site_label
_atom_site_fract_x
_atom_site_fract_y
_atom_site_fract_z
Ti1 0.0000 0.0000 0.0000
Ti2 0.0000 0.5000 0.2468
Ti3 0.2500 0.2500 0.2537
Co1 0.0000 0.2922 0.0000
Pt1 0.1917 0.0000 0.5000
```

The 12 most intense peaks (2θ from 10° to 90°), by angle:
| 2θ (°) | I/Imax | h k l |
| --- | --- | --- |
| 15.0 | 343 | 0 0 1 |
| 24.6 | 1000 | 0 2 1 |
| 29.8 | 704 | 2 0 1 |
| 34.5 | 272 | 1 1 2 |
| 36.2 | 339 | 0 2 2 |
| 39.4 | 462 | 0 4 0 |
| 40.1 | 262 | 3 1 0 |
| 43.0 | 303 | 3 1 1 |
| 44.7 | 285 | 1 3 2 |
| 44.9 | 823 | 2 2 2 |
| 50.1 | 243 | 2 4 1 |
| 51.9 | 313 | 3 3 1 |